For Li4Fe2F9, the PBE+U geometry in Alexandria gives the theoretical powder XRD pattern in this record (Cu Kα X-rays).

The 6 most intense peaks (10° ≤ 2θ ≤ 80°), by intensity:
(hkl)  2θ/deg  d (Å)  I (rel.)
1 0 0  19.86  4.470  100.0
2 -1 3  39.98  2.255  53.3
0 1 4  32.61  2.746  44.0
2 -1 6  53.09  1.725  26.8
3 0 0  62.32  1.490  23.5
2 0 4  48.41  1.880  23.0

Crystal structure
```
data_Li4Fe2F9
_chemical_formula_sum 'Li8 Fe4 F18'
_cell_length_a 5.161
_cell_length_b 5.161
_cell_length_c 13.918
_cell_angle_alpha 90.00
_cell_angle_beta 90.00
_cell_angle_gamma 120.00
_space_group_name_H-M_alt 'P 1'
_space_group_IT_number 1
loop_
_space_group_symop_operation_xyz
'x,y,z'
loop_
_atom_site_label
_atom_site_fract_x
_atom_site_fract_y
_atom_site_fract_z
_atom_site_occupancy
Li1 0.333 0.667 0.178 1
Li2 0.333 0.667 0.483 1
Li3 0.333 0.667 0.690 1
Li4 0.333 0.667 0.985 1
Li5 0.667 0.333 0.015 1
Li6 0.667 0.333 0.310 1
Li7 0.667 0.333 0.517 1
Li8 0.667 0.333 0.822 1
Fe1 0.000 0.000 0.132 1
Fe2 0.000 0.000 0.348 1
Fe3 0.000 0.000 0.652 1
Fe4 0.000 0.000 0.868 1
F1 0.004 0.703 0.257 1
F2 0.020 0.372 0.086 1
F3 0.026 0.686 0.583 1
F4 0.297 0.301 0.257 1
F5 0.301 0.004 0.743 1
F6 0.314 0.340 0.583 1
F7 0.340 0.026 0.417 1
F8 0.352 0.980 0.086 1
F9 0.372 0.352 0.914 1
F10 0.628 0.648 0.086 1
F11 0.648 0.020 0.914 1
F12 0.660 0.974 0.583 1
F13 0.686 0.660 0.417 1
F14 0.699 0.996 0.257 1
F15 0.703 0.699 0.743 1
F16 0.974 0.314 0.417 1
F17 0.980 0.628 0.914 1
F18 0.996 0.297 0.743 1
```